Entry 1:
# Pr2DyHg3
Theoretical X-ray diffraction stick pattern, Cu Ka. Input: a DFT-relaxed cell (GGA-PBE, Alexandria).
No peak broadening, texture or thermal motion is included.

Principal peaks in the range 2θ from 10° to 90°, by angle:
index, 2θ (°), I (rel.)
1 0 3, 33.1, 100
1 1 0, 33.4, 51
2 0 0, 47.9, 19
1 1 6, 59.0, 17
2 1 3, 59.5, 38
2 0 6, 69.5, 12

```
data_Pr2DyHg3
_space_group_name_H-M_alt 'P 4/m m m'
_space_group_IT_number 123
_space_group_name_Hall '-P 4 2'
_cell_length_a 3.7978
_cell_length_b 3.7978
_cell_length_c 11.5740
_cell_angle_alpha 90.00
_cell_angle_beta 90.00
_cell_angle_gamma 90.00
loop_
_atom_site_label
_atom_site_type_symbol
_atom_site_fract_x
_atom_site_fract_y
_atom_site_fract_z
Pr1 Pr 0.0000 0.0000 0.1714
Dy1 Dy 0.0000 0.0000 0.5000
Hg1 Hg 0.5000 0.5000 0.0000
Hg2 Hg 0.5000 0.5000 0.3488
```


Entry 2:
# Pr3DyHg5
Theoretical X-ray diffraction stick pattern, Cu Ka. Input: a DFT-relaxed cell (GGA-PBE, Alexandria).
No peak broadening, texture or thermal motion is included.

Principal peaks in the range 2θ from 10° to 90°, by angle:
index, 2θ (°), I (rel.)
2 1 1, 32.2, 26
1 1 2, 32.9, 100
3 0 0, 33.2, 88
2 2 2, 47.4, 31
4 1 2, 59.2, 26
3 0 4, 65.6, 25

```
data_Pr3DyHg5
_space_group_name_H-M_alt 'P 63/m c m'
_space_group_IT_number 193
_space_group_name_Hall '-P 6c 2'
_cell_length_a 9.3392
_cell_length_b 9.3392
_cell_length_c 6.7071
_cell_angle_alpha 90.00
_cell_angle_beta 90.00
_cell_angle_gamma 120.00
loop_
_atom_site_label
_atom_site_type_symbol
_atom_site_fract_x
_atom_site_fract_y
_atom_site_fract_z
Pr1 Pr 0.0000 0.3726 0.2500
Dy1 Dy 0.0000 0.0000 0.0000
Hg1 Hg 0.0000 0.2922 0.7500
Hg2 Hg 0.3333 0.6667 0.0000
```


Entry 3:
# Pr5Dy3Hg2
Theoretical X-ray diffraction stick pattern, Cu Ka. Input: a DFT-relaxed cell (GGA-PBE, Alexandria).
No peak broadening, texture or thermal motion is included.

Principal peaks in the range 2θ from 10° to 90°, by angle:
index, 2θ (°), I (rel.)
1 4 1, 26.3, 84
2 0 2, 29.8, 79
4 0 0, 30.4, 89
1 3 2, 31.4, 100
0 4 2, 33.7, 54
3 4 1, 34.1, 86

```
data_Pr5Dy3Hg2
_space_group_name_H-M_alt 'I b a m'
_space_group_IT_number 72
_space_group_name_Hall '-I 2 2c'
_cell_length_a 11.7532
_cell_length_b 16.4577
_cell_length_c 6.9582
_cell_angle_alpha 90.00
_cell_angle_beta 90.00
_cell_angle_gamma 90.00
loop_
_atom_site_label
_atom_site_type_symbol
_atom_site_fract_x
_atom_site_fract_y
_atom_site_fract_z
Pr1 Pr 0.0000 0.0000 0.2500
Pr2 Pr 0.0000 0.1947 0.2500
Pr3 Pr 0.2315 0.0607 0.0000
Dy1 Dy 0.0000 0.5000 0.2500
Dy2 Dy 0.2241 0.3250 0.0000
Hg1 Hg 0.0443 0.3473 0.5000
```


Entry 4:
# Pr6DyHg2
Theoretical X-ray diffraction stick pattern, Cu Ka. Input: a DFT-relaxed cell (GGA-PBE, Alexandria).
No peak broadening, texture or thermal motion is included.

Principal peaks in the range 2θ from 10° to 90°, by angle:
index, 2θ (°), I (rel.)
4 0 -3, 30.6, 31
2 0 3, 30.8, 19
1 1 -3, 32.0, 100
0 2 0, 47.6, 10
5 1 -6, 55.2, 8
4 2 -3, 57.7, 11

```
data_Pr6DyHg2
_space_group_name_H-M_alt 'C 1 2/m 1'
_space_group_IT_number 12
_cell_length_a 13.0842
_cell_length_b 3.8179
_cell_length_c 12.3427
_cell_angle_alpha 90.00
_cell_angle_beta 108.82
_cell_angle_gamma 90.00
loop_
_space_group_symop_operation_xyz
'x,y,z'
'-x,-y,-z'
'-x,y,-z'
'x,-y,z'
'x+1/2,y+1/2,z'
'-x+1/2,-y+1/2,-z'
'-x+1/2,y+1/2,-z'
'x+1/2,-y+1/2,z'
loop_
_atom_site_label
_atom_site_type_symbol
_atom_site_fract_x
_atom_site_fract_y
_atom_site_fract_z
Pr1 Pr 0.0237 0.0000 0.3355
Pr2 Pr 0.1855 0.5000 0.8761
Pr3 Pr 0.1906 0.5000 0.5918
Dy1 Dy 0.0000 0.0000 0.0000
Hg1 Hg 0.1363 0.5000 0.1902
```


Entry 5:
# PrDy3Hg2
Theoretical X-ray diffraction stick pattern, Cu Ka. Input: a DFT-relaxed cell (GGA-PBE, Alexandria).
No peak broadening, texture or thermal motion is included.

Principal peaks in the range 2θ from 10° to 90°, by angle:
index, 2θ (°), I (rel.)
1 2 1, 28.7, 37
0 2 2, 31.3, 41
1 1 2, 31.8, 100
1 3 0, 33.7, 85
2 0 0, 35.0, 59
2 2 2, 47.7, 26

```
data_PrDy3Hg2
_space_group_name_H-M_alt 'P m c 21'
_space_group_IT_number 26
_cell_length_a 5.1273
_cell_length_b 9.3418
_cell_length_c 7.2108
_cell_angle_alpha 90.00
_cell_angle_beta 90.00
_cell_angle_gamma 90.00
loop_
_space_group_symop_operation_xyz
'x,y,z'
'-x,-y,z+1/2'
'-x,y,z'
'x,-y,z+1/2'
loop_
_atom_site_label
_atom_site_type_symbol
_atom_site_fract_x
_atom_site_fract_y
_atom_site_fract_z
Pr1 Pr 0.0000 0.0576 0.0000
Dy1 Dy 0.0000 0.3291 0.6519
Dy2 Dy 0.5000 0.1801 0.3183
Dy3 Dy 0.5000 0.4423 0.9693
Hg1 Hg 0.0000 0.3554 0.2280
Hg2 Hg 0.5000 0.1506 0.7405
```


Entry 6:
# Pr3DyHg3
Theoretical X-ray diffraction stick pattern, Cu Ka. Input: a DFT-relaxed cell (GGA-PBE, Alexandria).
No peak broadening, texture or thermal motion is included.

Principal peaks in the range 2θ from 10° to 90°, by angle:
index, 2θ (°), I (rel.)
1 3 1, 27.6, 57
0 4 0, 30.1, 21
3 1 0, 30.4, 41
2 2 -2, 31.5, 100
1 3 2, 34.4, 53
2 2 2, 35.5, 21

```
data_Pr3DyHg3
_space_group_name_H-M_alt 'C 1 2/m 1'
_space_group_IT_number 12
_cell_length_a 9.1934
_cell_length_b 11.8807
_cell_length_c 8.0150
_cell_angle_alpha 90.00
_cell_angle_beta 98.30
_cell_angle_gamma 90.00
loop_
_space_group_symop_operation_xyz
'x,y,z'
'-x,-y,-z'
'-x,y,-z'
'x,-y,z'
'x+1/2,y+1/2,z'
'-x+1/2,-y+1/2,-z'
'-x+1/2,y+1/2,-z'
'x+1/2,-y+1/2,z'
loop_
_atom_site_label
_atom_site_type_symbol
_atom_site_fract_x
_atom_site_fract_y
_atom_site_fract_z
Pr1 Pr 0.0000 0.1714 0.0000
Pr2 Pr 0.0000 0.2468 0.5000
Pr3 Pr 0.1508 0.5000 0.8881
Dy1 Dy 0.2043 0.5000 0.4492
Hg1 Hg 0.0021 0.0000 0.3018
Hg2 Hg 0.2285 0.3129 0.2110
```


Entry 7:
# Pr3DyHg
Theoretical X-ray diffraction stick pattern, Cu Ka. Input: a DFT-relaxed cell (GGA-PBE, Alexandria).
No peak broadening, texture or thermal motion is included.

Principal peaks in the range 2θ from 10° to 90°, by angle:
index, 2θ (°), I (rel.)
6 0 -2, 30.7, 48
4 0 2, 30.9, 46
1 1 -2, 31.1, 100
5 1 0, 33.2, 93
11 1 -2, 57.5, 17
6 2 -2, 58.2, 17

```
data_Pr3DyHg
_space_group_name_H-M_alt 'C 1 2/m 1'
_space_group_IT_number 12
_cell_length_a 19.7845
_cell_length_b 3.7764
_cell_length_c 8.8458
_cell_angle_alpha 90.00
_cell_angle_beta 103.41
_cell_angle_gamma 90.00
loop_
_space_group_symop_operation_xyz
'x,y,z'
'-x,-y,-z'
'-x,y,-z'
'x,-y,z'
'x+1/2,y+1/2,z'
'-x+1/2,-y+1/2,-z'
'-x+1/2,y+1/2,-z'
'x+1/2,-y+1/2,z'
loop_
_atom_site_label
_atom_site_type_symbol
_atom_site_fract_x
_atom_site_fract_y
_atom_site_fract_z
Pr1 Pr 0.0043 0.0000 0.2909
Pr2 Pr 0.0968 0.5000 0.0342
Pr3 Pr 0.1865 0.0000 0.3777
Dy1 Dy 0.2049 0.0000 0.8320
Hg1 Hg 0.1085 0.5000 0.5899
```


Entry 8:
# Pr2DyHg4
Theoretical X-ray diffraction stick pattern, Cu Ka. Input: a DFT-relaxed cell (GGA-PBE, Alexandria).
No peak broadening, texture or thermal motion is included.

Principal peaks in the range 2θ from 10° to 90°, by angle:
index, 2θ (°), I (rel.)
1 0 4, 23.8, 19
0 1 8, 33.1, 100
1 1 0, 34.6, 93
2 0 8, 48.6, 34
1 0 16, 58.1, 18
1 2 8, 61.0, 35

```
data_Pr2DyHg4
_space_group_name_H-M_alt 'R -3 m'
_space_group_IT_number 166
_space_group_name_Hall '-R 3 2"'
_cell_length_a 5.1849
_cell_length_b 5.1849
_cell_length_c 27.1442
_cell_angle_alpha 90.00
_cell_angle_beta 90.00
_cell_angle_gamma 120.00
loop_
_atom_site_label
_atom_site_type_symbol
_atom_site_fract_x
_atom_site_fract_y
_atom_site_fract_z
Pr1 Pr 0.0000 0.0000 0.2439
Dy1 Dy 0.0000 0.0000 0.0000
Hg1 Hg 0.0000 0.0000 0.1266
Hg2 Hg 0.0000 0.0000 0.3696
```


Entry 9:
# PrDy3Hg6
Theoretical X-ray diffraction stick pattern, Cu Ka. Input: a DFT-relaxed cell (GGA-PBE, Alexandria).
No peak broadening, texture or thermal motion is included.

Principal peaks in the range 2θ from 10° to 90°, by angle:
index, 2θ (°), I (rel.)
2 0 -4, 33.5, 49
3 1 -1, 33.8, 98
1 1 3, 34.3, 100
0 2 0, 34.5, 53
2 2 -4, 48.8, 35
3 3 -1, 61.3, 42

```
data_PrDy3Hg6
_space_group_name_H-M_alt 'P 1 21/m 1'
_space_group_IT_number 11
_cell_length_a 9.2313
_cell_length_b 5.2059
_cell_length_c 11.2686
_cell_angle_alpha 90.00
_cell_angle_beta 107.27
_cell_angle_gamma 90.00
loop_
_space_group_symop_operation_xyz
'x,y,z'
'-x,-y,-z'
'-x,y+1/2,-z'
'x,-y+1/2,z'
loop_
_atom_site_label
_atom_site_type_symbol
_atom_site_fract_x
_atom_site_fract_y
_atom_site_fract_z
Pr1 Pr 0.0673 0.2500 0.3842
Dy1 Dy 0.2296 0.2500 0.0034
Dy2 Dy 0.3525 0.7500 0.8056
Dy3 Dy 0.4894 0.2500 0.6134
Hg1 Hg 0.0633 0.7500 0.9093
Hg2 Hg 0.1416 0.7500 0.2061
Hg3 Hg 0.1753 0.2500 0.6918
Hg4 Hg 0.2559 0.7500 0.5217
Hg5 Hg 0.3589 0.2500 0.2896
Hg6 Hg 0.4638 0.7500 0.0934
```


Entry 10:
# PrDyTlHg
Theoretical X-ray diffraction stick pattern, Cu Ka. Input: a DFT-relaxed cell (GGA-PBE, Alexandria).
No peak broadening, texture or thermal motion is included.

Principal peaks in the range 2θ from 10° to 90°, by angle:
index, 2θ (°), I (rel.)
1 0 2, 33.0, 100
1 1 0, 33.2, 51
2 0 0, 47.7, 19
1 1 4, 58.7, 17
2 1 2, 59.2, 38
2 0 4, 69.1, 11

```
data_PrDyTlHg
_space_group_name_H-M_alt 'P 4 m m'
_space_group_IT_number 99
_cell_length_a 3.8122
_cell_length_b 3.8122
_cell_length_c 7.7494
_cell_angle_alpha 90.00
_cell_angle_beta 90.00
_cell_angle_gamma 90.00
loop_
_space_group_symop_operation_xyz
'x,y,z'
'-y,x,z'
'-x,-y,z'
'y,-x,z'
'-x,y,z'
'y,x,z'
'x,-y,z'
'-y,-x,z'
loop_
_atom_site_label
_atom_site_type_symbol
_atom_site_fract_x
_atom_site_fract_y
_atom_site_fract_z
Pr1 Pr 0.0000 0.0000 0.0000
Dy1 Dy 0.0000 0.0000 0.4817
Tl1 Tl 0.5000 0.5000 0.7285
Hg1 Hg 0.5000 0.5000 0.2647
```


Entry 11:
# Dy3Hg2Pt2
Theoretical X-ray diffraction stick pattern, Cu Ka. Input: a DFT-relaxed cell (GGA-PBE, Alexandria).
No peak broadening, texture or thermal motion is included.

Principal peaks in the range 2θ from 10° to 90°, by angle:
index, 2θ (°), I (rel.)
1 1 1, 33.4, 100
0 6 1, 34.0, 62
1 7 0, 35.9, 77
2 0 0, 45.7, 28
2 6 1, 58.2, 27
1 7 2, 62.5, 37

```
data_Dy3Hg2Pt2
_space_group_name_H-M_alt 'C m m m'
_space_group_IT_number 65
_space_group_name_Hall '-C 2 2'
_cell_length_a 3.9675
_cell_length_b 22.5903
_cell_length_c 3.6944
_cell_angle_alpha 90.00
_cell_angle_beta 90.00
_cell_angle_gamma 90.00
loop_
_atom_site_label
_atom_site_type_symbol
_atom_site_fract_x
_atom_site_fract_y
_atom_site_fract_z
Dy1 Dy 0.0000 0.0000 0.0000
Dy2 Dy 0.0000 0.1684 0.0000
Hg1 Hg 0.0000 0.4214 0.5000
Pt1 Pt 0.0000 0.2914 0.5000
```


Entry 12:
# Dy2PuHg9
Theoretical X-ray diffraction stick pattern, Cu Ka. Input: a DFT-relaxed cell (GGA-PBE, Alexandria).
No peak broadening, texture or thermal motion is included.

Principal peaks in the range 2θ from 10° to 90°, by angle:
index, 2θ (°), I (rel.)
1 1 3, 33.5, 100
0 2 0, 38.0, 18
0 0 6, 39.1, 16
2 0 0, 39.5, 16
1 3 3, 65.7, 15
3 1 3, 67.8, 13

```
data_Dy2PuHg9
_space_group_name_H-M_alt 'P m m m'
_space_group_IT_number 47
_cell_length_a 4.5627
_cell_length_b 4.7416
_cell_length_c 13.8113
_cell_angle_alpha 90.00
_cell_angle_beta 90.00
_cell_angle_gamma 90.00
loop_
_space_group_symop_operation_xyz
'x,y,z'
'-x,-y,-z'
'-x,-y,z'
'x,y,-z'
'x,-y,-z'
'-x,y,z'
'-x,y,-z'
'x,-y,z'
loop_
_atom_site_label
_atom_site_type_symbol
_atom_site_fract_x
_atom_site_fract_y
_atom_site_fract_z
Dy1 Dy 0.0000 0.0000 0.1639
Pu1 Pu 0.0000 0.0000 0.5000
Hg1 Hg 0.0000 0.5000 0.0000
Hg2 Hg 0.0000 0.5000 0.3290
Hg3 Hg 0.5000 0.0000 0.0000
Hg4 Hg 0.5000 0.0000 0.3276
Hg5 Hg 0.5000 0.5000 0.1610
Hg6 Hg 0.5000 0.5000 0.5000
```


Entry 13:
# Dy3PuHg12
Theoretical X-ray diffraction stick pattern, Cu Ka. Input: a DFT-relaxed cell (GGA-PBE, Alexandria).
No peak broadening, texture or thermal motion is included.

Principal peaks in the range 2θ from 10° to 90°, by angle:
index, 2θ (°), I (rel.)
1 1 4, 33.6, 100
0 0 8, 37.8, 18
2 0 0, 39.5, 32
2 0 8, 55.8, 24
1 1 12, 65.6, 14
3 1 4, 67.9, 27

```
data_Dy3PuHg12
_space_group_name_H-M_alt 'P 4/m m m'
_space_group_IT_number 123
_space_group_name_Hall '-P 4 2'
_cell_length_a 4.5647
_cell_length_b 4.5647
_cell_length_c 19.0161
_cell_angle_alpha 90.00
_cell_angle_beta 90.00
_cell_angle_gamma 90.00
loop_
_atom_site_label
_atom_site_type_symbol
_atom_site_fract_x
_atom_site_fract_y
_atom_site_fract_z
Dy1 Dy 0.0000 0.0000 0.0000
Dy2 Dy 0.0000 0.0000 0.2478
Pu1 Pu 0.0000 0.0000 0.5000
Hg1 Hg 0.0000 0.5000 0.1237
Hg2 Hg 0.0000 0.5000 0.3716
Hg3 Hg 0.5000 0.5000 0.0000
Hg4 Hg 0.5000 0.5000 0.2469
Hg5 Hg 0.5000 0.5000 0.5000
```